Theoretical XRD peak list
Compound: YInMo4
Radiation: Cu Ka
Structure: a crystal structure in Alexandria, relaxed with GGA-PBE

Structural model:
Cell: 7.691 7.691 7.691 Å, 90.00 90.00 90.00°
Space group F-43m (No. 216)
One atom of each set of equivalent atoms:
Y 0.000 0.000 0.000 x4
In 0.250 0.250 0.750 x4
Mo 0.124 0.124 0.376 x16

Top 11 peaks for 2θ from 10° to 80°, sorted by position:
d [Å]	two_theta	I/Imax	h k l
4.441	20.00	5	1 1 1
2.719	32.94	29	2 2 0
2.319	38.83	100	3 1 1
2.220	40.63	38	2 2 2
1.923	47.27	4	4 0 0
1.765	51.81	1	3 3 1
1.570	58.82	10	4 2 2
1.480	62.78	31	3 3 3
1.360	69.08	27	4 4 0
1.300	72.74	1	5 3 1
1.216	78.68	4	6 2 0

Theoretical XRD peak list
Compound: TbAlPt3
Radiation: Cu Ka
Structure: a crystal structure in Alexandria, relaxed with GGA-PBE

Structural model:
Cell: 6.082 6.425 5.123 Å, 90.00 90.00 90.00°
Space group Pbam (No. 55)
One atom of each set of equivalent atoms:
Tb 0.000 0.000 0.000 x2
Al 0.000 0.500 0.500 x2
Pt 0.000 0.500 0.000 x2
Pt 0.144 0.156 0.500 x4

Top 12 peaks for 2θ from 10° to 80°, sorted by position:
d [Å]	two_theta	I/Imax	h k l
2.841	31.49	36	1 2 0
2.749	32.58	40	2 1 0
2.722	32.91	89	0 2 1
2.615	34.29	62	2 0 1
2.562	35.03	100	0 0 2
2.484	36.16	50	1 2 1
2.422	37.12	57	2 1 1
2.208	40.86	38	2 2 0
2.028	44.68	29	2 2 1
1.874	48.58	27	2 1 2
1.673	54.89	33	2 2 2
1.458	63.86	27	4 0 1

Theoretical XRD peak list
Compound: Na2Zn16Ag
Radiation: Cu Ka
Structure: a crystal structure in Alexandria, relaxed with GGA-PBE

Structural model:
Cell: 9.0657 9.0657 13.3206 Å, 90.00 90.00 120.00°
Space group R3m (No. 160, hexagonal axes)
One atom of each set of equivalent atoms:
Na 0.0000 0.0000 0.0000 x3
Na 0.0000 0.0000 0.3184 x3
Zn 0.0000 0.0000 0.5540 x3
Zn 0.0001 0.2995 0.6608 x18
Zn 0.0028 0.5014 0.1608 x9
Zn 0.0039 0.5019 0.8120 x9
Zn 0.1685 0.3370 0.8421 x9
Ag 0.0000 0.0000 0.7578 x3

Top 12 peaks for 2θ from 10° to 80°, sorted by position:
d [Å]	two_theta	I/Imax	h k l
6.764	13.09	42	1 0 1
4.533	19.58	22	1 1 0
2.617	34.26	24	3 0 0
2.539	35.34	23	0 2 4
2.266	39.77	50	2 2 0
2.255	39.99	68	0 3 3
2.219	40.66	35	0 0 6
2.204	40.94	22	2 0 5
2.019	44.90	100	2 2 3
1.994	45.49	34	1 1 6
1.356	69.29	18	4 1 6
1.308	72.20	23	6 0 0

Theoretical XRD peak list
Compound: Mg2In2PPd4
Radiation: Cu Ka
Structure: a crystal structure in Alexandria, relaxed with GGA-PBE

Structural model:
Cell: 6.338 6.338 8.059 Å, 90.00 90.00 90.00°
Space group I4/mmm (No. 139)
One atom of each set of equivalent atoms:
Mg 0.000 0.000 0.198 x4
In 0.000 0.500 0.250 x4
P 0.000 0.000 0.500 x2
Pd 0.240 0.240 0.000 x8

Top 12 peaks for 2θ from 10° to 80°, sorted by position:
d [Å]	two_theta	I/Imax	h k l
4.482	19.81	11	1 1 0
4.029	22.06	7	0 0 2
2.996	29.82	19	1 1 2
2.491	36.06	100	2 0 2
2.241	40.24	44	2 2 0
2.015	44.99	15	0 0 4
1.795	50.88	8	3 1 2
1.585	58.22	14	4 0 0
1.498	61.93	22	2 2 4
1.337	70.42	26	4 2 2
1.246	76.48	11	4 0 4
1.237	77.13	9	2 0 6

Theoretical XRD peak list
Compound: Li5Mg5Hg2
Radiation: Cu Ka
Structure: a crystal structure in Alexandria, relaxed with GGA-PBE

Structural model:
Cell: 14.044 4.863 8.244 Å, 90.00 122.79 90.00°
Space group C2/m (No. 12)
One atom of each set of equivalent atoms:
Li 0.000 0.000 0.000 x2
Li 0.074 0.000 0.397 x4
Li 0.245 0.000 0.213 x4
Mg 0.000 0.500 0.500 x2
Mg 0.092 0.500 0.926 x4
Mg 0.180 0.500 0.354 x4
Hg 0.154 0.000 0.794 x4

Top 12 peaks for 2θ from 10° to 80°, sorted by position:
d [Å]	two_theta	I/Imax	h k l
6.588	13.44	100	2 0 -1
4.187	21.22	39	1 1 -1
3.628	24.54	19	2 0 1
3.466	25.70	16	0 0 2
3.460	25.75	51	1 1 1
3.294	27.07	24	4 0 -2
3.063	29.15	59	3 1 0
3.005	29.73	17	3 1 -2
2.431	36.97	21	0 2 0
2.390	37.64	32	3 1 -3
2.382	37.77	38	5 1 -1
2.281	39.51	16	2 2 -1

Theoretical XRD peak list
Compound: Nb4VMo
Radiation: Cu Ka
Structure: a crystal structure in Alexandria, relaxed with GGA-PBE

Structural model:
Cell: 4.5683 4.5683 5.6701 Å, 90.00 90.00 120.00°
Space group P-3m1 (No. 164)
One atom of each set of equivalent atoms:
Nb 0.3333 0.6667 0.3343 x2
Nb 0.3333 0.6667 0.8402 x2
V 0.0000 0.0000 0.0000 x1
Mo 0.0000 0.0000 0.5000 x1

Top 12 peaks for 2θ from 10° to 80°, sorted by position:
d [Å]	two_theta	I/Imax	h k l
5.670	15.63	2	0 0 1
3.956	22.47	3	1 0 0
3.245	27.49	5	1 0 1
2.304	39.09	100	1 0 2
2.284	39.45	96	1 1 0
2.119	42.68	1	1 1 1
1.868	48.76	1	0 2 1
1.622	56.75	32	0 2 2
1.446	64.44	1	2 1 1
1.334	70.58	16	0 1 4
1.323	71.31	32	2 1 2
1.319	71.55	16	3 0 0

Theoretical XRD peak list
Compound: La6FeSi2S14
Radiation: Cu Ka
Structure: a crystal structure in Alexandria, relaxed with GGA-PBE

Structural model:
Cell: 10.2875 10.2875 5.7994 Å, 90.00 90.00 120.00°
Space group P3 (No. 143)
One atom of each set of equivalent atoms:
La 0.0200 0.4584 0.0000 x3
La 0.3119 0.2103 0.5054 x3
Fe 0.6667 0.3333 0.7377 x1
Si 0.0000 0.0000 0.0844 x1
Si 0.3333 0.6667 0.5877 x1
S 0.0000 0.0000 0.7210 x1
S 0.0755 0.2198 0.2228 x3
S 0.1933 0.7467 0.7259 x3
S 0.3333 0.6667 0.2243 x1
S 0.4385 0.2519 0.9641 x3
S 0.5160 0.1051 0.5182 x3

Top 12 peaks for 2θ from 10° to 80°, sorted by position:
d [Å]	two_theta	I/Imax	h k l
4.860	18.25	30	1 0 1
4.455	19.93	24	2 0 0
3.848	23.11	42	2 -1 1
3.533	25.21	100	2 0 1
3.367	26.47	24	2 1 0
2.572	34.89	28	2 2 0
2.471	36.36	45	3 1 0
2.430	36.99	33	0 2 2
2.273	39.65	55	1 3 1
2.197	41.08	28	2 1 2
1.881	48.40	24	1 3 2
1.843	49.44	24	4 1 1

Theoretical XRD peak list
Compound: SbTe4Au3
Radiation: Cu Ka
Structure: a crystal structure in Alexandria, relaxed with GGA-PBE

Structural model:
Cell: 9.048 7.815 7.501 Å, 90.00 90.00 90.00°
Space group Pmn2_1 (No. 31)
One atom of each set of equivalent atoms:
Sb 0.000 0.163 0.000 x2
Te 0.000 0.174 0.608 x2
Te 0.000 0.819 0.140 x2
Te 0.240 0.657 0.629 x4
Au 0.000 0.839 0.510 x2
Au 0.246 0.674 0.994 x4

Top 12 peaks for 2θ from 10° to 80°, sorted by position:
d [Å]	two_theta	I/Imax	h k l
3.913	22.73	100	0 2 0
3.751	23.72	60	0 0 2
3.469	25.68	79	2 1 1
2.708	33.09	39	0 2 2
2.259	39.91	92	4 0 0
2.107	42.93	97	2 1 3
1.957	46.41	15	4 2 0
1.935	46.95	58	4 0 2
1.893	48.07	15	0 4 1
1.541	60.05	35	0 4 3
1.401	66.78	24	2 1 5
1.272	74.59	24	4 4 3

Theoretical XRD peak list
Compound: Ti6C3O2
Radiation: Cu Ka
Structure: a crystal structure in Alexandria, relaxed with GGA-PBE

Structural model:
Cell: 5.291 9.134 5.275 Å, 90.00 109.49 90.00°
Space group C2/m (No. 12)
One atom of each set of equivalent atoms:
Ti 0.241 0.173 0.238 x8
Ti 0.245 0.000 0.771 x4
C 0.000 0.000 0.000 x2
C 0.000 0.334 0.000 x4
O 0.000 0.166 0.500 x4

Top 12 peaks for 2θ from 10° to 80°, sorted by position:
d [Å]	two_theta	I/Imax	h k l
4.973	17.84	2	0 0 1
4.378	20.29	3	1 1 0
2.494	36.01	21	2 0 0
2.487	36.11	63	1 3 -1
2.155	41.91	100	1 3 1
1.526	60.70	28	3 3 -1
1.523	60.84	27	0 6 0
1.301	72.65	7	3 3 1
1.299	72.78	16	2 6 0
1.298	72.86	5	0 6 2
1.247	76.38	4	4 0 0
1.244	76.62	12	2 6 -2

Theoretical XRD peak list
Compound: Th2MgZnCo
Radiation: Cu Ka
Structure: a crystal structure in Alexandria, relaxed with GGA-PBE

Structural model:
Cell: 6.183 4.706 7.785 Å, 90.00 90.05 90.00°
Space group P2_1/m (No. 11)
One atom of each set of equivalent atoms:
Th 0.216 0.250 0.039 x2
Th 0.216 0.250 0.461 x2
Mg 0.282 0.750 0.750 x2
Zn 0.419 0.750 0.250 x2
Co 0.002 0.250 0.750 x2

Top 12 peaks for 2θ from 10° to 80°, sorted by position:
d [Å]	two_theta	I/Imax	h k l
3.893	22.84	17	0 0 2
3.744	23.76	82	1 1 0
3.091	28.88	20	2 0 0
2.699	33.20	100	1 1 2
2.584	34.72	15	2 1 0
2.452	36.65	19	2 1 1
2.421	37.14	35	2 0 -2
2.353	38.25	32	0 2 0
2.272	39.66	26	0 1 3
1.888	48.20	15	3 1 0
1.687	54.38	24	2 2 -2
1.334	70.63	15	2 1 -5

Theoretical XRD peak list
Compound: Pr2Sm2ZnGa4
Radiation: Cu Ka
Structure: a crystal structure in Alexandria, relaxed with GGA-PBE

Structural model:
Cell: 7.104 7.104 8.903 Å, 90.00 90.00 90.00°
Space group I4/mmm (No. 139)
One atom of each set of equivalent atoms:
Pr 0.000 0.500 0.250 x4
Sm 0.000 0.000 0.186 x4
Zn 0.000 0.000 0.500 x2
Ga 0.242 0.242 0.500 x8

Top 12 peaks for 2θ from 10° to 80°, sorted by position:
d [Å]	two_theta	I/Imax	h k l
3.552	25.07	25	2 0 0
2.776	32.24	100	2 0 2
2.738	32.70	26	1 0 3
2.512	35.75	67	2 2 0
2.226	40.53	11	0 0 4
2.169	41.65	22	2 1 3
1.776	51.45	23	4 0 0
1.666	55.14	17	2 2 4
1.641	56.02	13	3 2 3
1.496	62.03	30	4 2 2
1.423	65.60	10	1 1 6
1.238	77.02	12	3 1 6

Theoretical XRD peak list
Compound: La3PmPd8
Radiation: Cu Ka
Structure: a crystal structure in Alexandria, relaxed with GGA-PBE

Structural model:
Cell: 5.5586 5.5586 9.1032 Å, 90.00 90.00 120.00°
Space group P3m1 (No. 156)
One atom of each set of equivalent atoms:
La 0.0000 0.0000 0.0000 x1
La 0.0000 0.0000 0.3729 x1
La 0.3333 0.6667 0.8671 x1
Pm 0.3333 0.6667 0.4970 x1
Pd 0.0029 0.5014 0.1859 x3
Pd 0.3316 0.1658 0.6828 x3
Pd 0.6667 0.3333 0.4345 x1
Pd 0.6667 0.3333 0.9352 x1

Top 12 peaks for 2θ from 10° to 80°, sorted by position:
d [Å]	two_theta	I/Imax	h k l
2.779	32.21	36	1 1 0
2.567	34.95	77	0 1 3
2.407	37.36	12	2 0 0
2.372	37.93	100	1 1 2
2.327	38.70	80	2 0 1
2.276	39.60	16	0 0 4
2.128	42.49	13	0 2 2
1.560	59.21	32	1 2 3
1.513	61.25	24	3 0 2
1.452	64.14	31	2 0 5
1.390	67.39	27	2 2 0
1.222	78.22	15	3 1 3

Theoretical XRD peak list
Compound: Sc4SbH
Radiation: Cu Ka
Structure: a crystal structure in Alexandria, relaxed with GGA-PBE

Structural model:
Cell: 13.357 5.697 6.494 Å, 90.00 106.73 90.00°
Space group C2/c (No. 15)
One atom of each set of equivalent atoms:
Sc 0.100 0.092 0.453 x8
Sc 0.187 0.408 0.147 x8
Sb 0.000 0.374 0.750 x4
H 0.250 0.250 0.500 x4

Top 12 peaks for 2θ from 10° to 80°, sorted by position:
d [Å]	two_theta	I/Imax	h k l
6.396	13.85	42	2 0 0
5.204	17.04	21	1 1 0
4.243	20.94	16	1 1 -1
2.738	32.70	52	3 1 1
2.642	33.94	63	4 0 -2
2.542	35.31	71	1 1 2
2.507	35.81	100	2 2 -1
2.334	38.58	52	5 1 0
2.008	45.14	21	1 1 -3
1.623	56.73	20	3 3 1
1.557	59.37	16	3 1 -4
1.498	61.95	17	6 2 -3